Diffraction record for RbWF2. The X-ray diffraction stick pattern is calculated, not measured: it uses a PBE+U-relaxed structure and Cu Kα (λ = 1.5418 Å).
No peak broadening, texture or thermal motion is included.

abc: 6.884 6.884 7.871
angles: 90.00 90.00 90.00
Space group I-42d (No. 122)
Asymmetric unit:
Rb 0.000 0.000 0.000 (multiplicity 4)
W 0.000 0.000 0.500 (multiplicity 4)
F 0.196 0.750 0.625 (multiplicity 8)

Top 6 peaks for 2θ from 5° to 70°, sorted by position:
2θ/deg  I_rel  (hkl)
17.11  26  1 0 1
25.88  49  2 0 0
29.18  100  1 1 2
36.93  32  2 2 0
47.74  51  3 1 2
53.65  22  2 0 4